Structure and simulated X-ray powder pattern of Tm2Ga12Ni (DFT lattice parameters and positions (PBE); Cu Kα).

Atomic structure:
Cell: 6.0239 6.0239 15.2335 Å, 90.00 90.00 90.00°
Atoms (fractional coordinates):
Tm 0.2500 0.7500 0.2397
Tm 0.2500 0.7500 0.7603
Tm 0.7500 0.2500 0.2397
Tm 0.7500 0.2500 0.7603
Ga 0.0003 0.9997 0.0854
Ga 0.9997 0.0003 0.9146
Ga 0.9997 0.4997 0.0854
Ga 0.0003 0.5003 0.9146
Ga 0.0849 0.5849 0.4301
Ga 0.0849 0.9151 0.5699
Ga 0.2500 0.2500 0.1861
Ga 0.2500 0.2500 0.3446
Ga 0.2500 0.2500 0.6554
Ga 0.2500 0.2500 0.8139
Ga 0.4151 0.5849 0.5699
Ga 0.4151 0.9151 0.4301
Ga 0.5003 0.0003 0.0854
Ga 0.4997 0.9997 0.9146
Ga 0.4997 0.5003 0.0854
Ga 0.5003 0.4997 0.9146
Ga 0.5849 0.0849 0.5699
Ga 0.5849 0.4151 0.4301
Ga 0.7500 0.7500 0.1861
Ga 0.7500 0.7500 0.3446
Ga 0.7500 0.7500 0.6554
Ga 0.7500 0.7500 0.8139
Ga 0.9151 0.0849 0.4301
Ga 0.9151 0.4151 0.5699
Ni 0.2500 0.7500 0.0000
Ni 0.7500 0.2500 0.0000

Most intense lines, 2θ = 10–90°, low angle first:
31.51 deg, intensity 57, hkl 1 1 4; 31.95 deg, intensity 100, hkl 2 0 2; 35.35 deg, intensity 24, hkl 0 0 6; 38.09 deg, intensity 31, hkl 2 0 4; 41.40 deg, intensity 36, hkl 1 1 6; 42.19 deg, intensity 23, hkl 2 0 5; 42.44 deg, intensity 60, hkl 2 2 0; 53.81 deg, intensity 30, hkl 3 1 4; 69.84 deg, intensity 25, hkl 3 1 8; 76.97 deg, intensity 18, hkl 3 3 6

Structure and simulated X-ray powder pattern of Tl4In6Sn (DFT lattice parameters and positions (PBE); Cu Kα).

Atomic structure:
Cell: 5.3985 5.3985 25.4472 Å, 90.00 90.00 120.00°
Atoms (fractional coordinates):
Tl 0.0000 0.0000 0.1252
Tl 0.0000 0.0000 0.3748
Tl 0.0000 0.0000 0.6252
Tl 0.0000 0.0000 0.8748
Tl 0.3333 0.6667 0.0443
Tl 0.3333 0.6667 0.4557
Tl 0.6667 0.3333 0.5443
Tl 0.6667 0.3333 0.9557
In 0.0000 0.0000 0.0000
In 0.0000 0.0000 0.2500
In 0.0000 0.0000 0.5000
In 0.0000 0.0000 0.7500
In 0.3333 0.6667 0.1837
In 0.3333 0.6667 0.3163
In 0.3333 0.6667 0.6106
In 0.3333 0.6667 0.8894
In 0.6667 0.3333 0.1106
In 0.6667 0.3333 0.3894
In 0.6667 0.3333 0.6837
In 0.6667 0.3333 0.8163
Sn 0.3333 0.6667 0.7500
Sn 0.6667 0.3333 0.2500

Most intense lines, 2θ = 10–90°, low angle first:
31.17 deg, intensity 61, hkl 1 0 7; 33.19 deg, intensity 100, hkl 1 1 0; 34.09 deg, intensity 37, hkl 1 0 8; 46.17 deg, intensity 21, hkl 2 0 7; 48.32 deg, intensity 14, hkl 2 0 8; 58.03 deg, intensity 23, hkl 0 0 16; 59.30 deg, intensity 19, hkl 3 0 0; 59.88 deg, intensity 15, hkl 2 1 8; 61.53 deg, intensity 12, hkl 1 1 14; 69.67 deg, intensity 12, hkl 2 2 0